Structure and calculated powder diffraction line list of BaLi4Ge4 (a DFT-relaxed cell (PBE, Alexandria); Cu Ka).
Intensities are scaled so that the largest is 100.

Structure:
```
data_BaLi4Ge4
_symmetry_space_group_name_H-M 'I 4/m'
_symmetry_Int_Tables_number 87
_symmetry_space_group_name_Hall '-I 4'
_cell_length_a 9.902
_cell_length_b 9.902
_cell_length_c 3.985
_cell_angle_alpha 90.00
_cell_angle_beta 90.00
_cell_angle_gamma 90.00
loop_
_atom_site_label
_atom_site_type_symbol
_atom_site_fract_x
_atom_site_fract_y
_atom_site_fract_z
Ba1 Ba 0.000 0.000 0.000
Li1 Li 0.068 0.645 0.500
Ge1 Ge 0.172 0.256 0.500
```

Largest 6 diffraction maxima, in order of rising 2θ, 2θ from 10° to 80°:
- hkl 1 1 0, 2θ 12.64, I = 42.1
- hkl 2 2 0, 2θ 25.44, I = 57.6
- hkl 1 3 0, 2θ 28.50, I = 35.8
- hkl 2 1 1, 2θ 30.17, I = 100.0
- hkl 3 0 1, 2θ 35.31, I = 35.5
- hkl 4 3 1, 2θ 51.53, I = 40.3